For Al3Ag5, a cell relaxed with GGA-PBE gives the computed XRD peak list in this record (Cu Kα, 1.54184 Å).

Crystal structure
a = 5.883 Å, b = 5.883 Å, c = 7.842 Å
α = 90.00°, β = 90.00°, γ = 90.00°
Space group I4/mmm (No. 139)
Asymmetric unit:
1 Al 0.000 0.000 0.000 [2 per cell]
2 Al 0.000 0.500 0.000 [4 per cell]
3 Ag 0.000 0.000 0.500 [2 per cell]
4 Ag 0.250 0.250 0.250 [8 per cell]

Top 6 peaks for 10° ≤ 2θ ≤ 80°, in order of falling intensity:
two_theta	d [Å]	intensity	hkl
38.25	2.353	100.0	2 0 2
43.51	2.080	34.2	2 2 0
76.36	1.247	24.5	4 2 2
65.42	1.427	19.2	2 2 4
22.68	3.921	15.3	0 0 2
30.39	2.941	14.9	2 0 0